This entry pairs a crystal structure of Dy4Bi2S9 with its computed X-ray powder pattern. Radiation: a wavelength of 1.5418 Å. Structure: DFT lattice parameters and positions (PBE).
Neutral-atom scattering factors, no anomalous dispersion.

```
data_Dy4Bi2S9
_chemical_formula_sum 'Dy16 Bi8 S36'
_space_group_name_H-M_alt 'P n m a'
_space_group_IT_number 62
_cell_length_a 28.066
_cell_length_b 3.850
_cell_length_c 12.604
_cell_angle_alpha 90.00
_cell_angle_beta 90.00
_cell_angle_gamma 90.00
loop_
_space_group_symop_operation_xyz
'x,y,z'
'-x,-y,-z'
'-x+1/2,-y,z+1/2'
'x+1/2,y,-z+1/2'
'x+1/2,-y+1/2,-z+1/2'
'-x+1/2,y+1/2,z+1/2'
'-x,y+1/2,-z'
'x,-y+1/2,z'
loop_
_atom_site_label
_atom_site_type_symbol
_atom_site_fract_x
_atom_site_fract_y
_atom_site_fract_z
Dy1 Dy 0.058 0.250 0.240
Dy2 Dy 0.182 0.750 0.759
Dy3 Dy 0.189 0.250 0.108
Dy4 Dy 0.196 0.750 0.426
Bi1 Bi 0.061 0.250 0.567
Bi2 Bi 0.067 0.750 0.935
S1 S 0.007 0.750 0.116
S2 S 0.043 0.750 0.393
S3 S 0.058 0.750 0.711
S4 S 0.117 0.750 0.124
S5 S 0.139 0.250 0.893
S6 S 0.150 0.250 0.318
S7 S 0.159 0.250 0.592
S8 S 0.231 0.750 0.964
S9 S 0.244 0.750 0.232
```

Peak list (8 most intense, 2θ from 10° to 90°, in order of rising 2θ)
2θ (°), Rel. int., h k l
24.70, 100, 4 0 3
25.39, 52, 8 0 0
26.00, 40, 3 1 1
27.33, 25, 1 1 2
29.00, 23, 5 1 1
35.33, 50, 7 1 2
44.33, 30, 12 0 3
54.00, 25, 4 2 3

This entry pairs a crystal structure of Ca2NdNbO6 with its computed X-ray powder pattern. Radiation: a wavelength of 1.5418 Å. Structure: DFT lattice parameters and positions (PBE).
Neutral-atom scattering factors, no anomalous dispersion.

```
data_Ca2NdNbO6
_chemical_formula_sum 'Ca4 Nd2 Nb2 O12'
_space_group_name_H-M_alt 'P 1 c 1'
_space_group_IT_number 7
_cell_length_a 5.663
_cell_length_b 5.950
_cell_length_c 9.970
_cell_angle_alpha 90.00
_cell_angle_beta 124.44
_cell_angle_gamma 90.00
loop_
_space_group_symop_operation_xyz
'x,y,z'
'x,-y,z+1/2'
loop_
_atom_site_label
_atom_site_type_symbol
_atom_site_fract_x
_atom_site_fract_y
_atom_site_fract_z
Ca1 Ca 0.000 0.194 0.000
Ca2 Ca 0.230 0.247 0.745
Nd1 Nd 0.459 0.308 0.489
Nb1 Nb 0.729 0.249 0.243
O1 O 0.079 0.075 0.300
O2 O 0.386 0.429 0.192
O3 O 0.489 0.038 0.672
O4 O 0.618 0.307 0.015
O5 O 0.838 0.193 0.475
O6 O 0.976 0.468 0.817
```

Peak list (8 most intense, 2θ from 10° to 90°, in order of rising 2θ)
2θ (°), Rel. int., h k l
18.41, 30, 0 1 1
19.03, 28, 1 0 -2
30.04, 21, 0 2 0
30.79, 100, 1 1 1
31.60, 22, 2 0 -2
44.05, 14, 0 0 4
44.16, 21, 2 2 -2
55.70, 13, 3 1 -1